Starting from a DFT-relaxed cell (GGA-PBE, Alexandria), the PXRD pattern of Nd5Tl2P was calculated for Cu Kα X-rays.
Peak positions follow from Bragg's law for the DFT cell and can differ from measured ones.

Largest 10 diffraction maxima, sorted by position, 2θ = 15–90°:
two_theta  I/Imax  index
29.94  100  1 2 2
30.16  51  4 0 1
30.40  18  3 0 2
30.54  98  3 2 1
32.38  42  2 2 2
33.68  19  1 0 3
34.13  24  4 2 0
35.90  20  2 0 3
38.65  32  0 4 0
40.92  19  2 2 3

Cell and atoms:
abc: 12.7208 9.3192 8.1634
angles: 90.00 90.00 90.00
Element x y z (fractional)
Nd 0.9995 0.2500 0.0546
Nd 0.0005 0.7500 0.9454
Nd 0.0708 0.0454 0.6814
Nd 0.0708 0.4546 0.6814
Nd 0.1988 0.7500 0.3665
Nd 0.2102 0.2500 0.3398
Nd 0.2898 0.7500 0.8398
Nd 0.3012 0.2500 0.8665
Nd 0.4292 0.5454 0.1814
Nd 0.4292 0.9546 0.1814
Nd 0.4995 0.2500 0.4454
Nd 0.5005 0.7500 0.5546
Nd 0.5708 0.0454 0.8186
Nd 0.5708 0.4546 0.8186
Nd 0.6988 0.7500 0.1335
Nd 0.7102 0.2500 0.1602
Nd 0.7898 0.7500 0.6602
Nd 0.8012 0.2500 0.6335
Nd 0.9292 0.5454 0.3186
Nd 0.9292 0.9546 0.3186
Tl 0.1713 0.5081 0.0703
Tl 0.1713 0.9919 0.0703
Tl 0.3287 0.0081 0.5703
Tl 0.3287 0.4919 0.5703
Tl 0.6713 0.5081 0.4297
Tl 0.6713 0.9919 0.4297
Tl 0.8287 0.0081 0.9297
Tl 0.8287 0.4919 0.9297
P 0.0124 0.7500 0.5678
P 0.4876 0.2500 0.0678
P 0.5124 0.7500 0.9322
P 0.9876 0.2500 0.4322